1.
# Ag
Simulated X-ray powder pattern, Cu Kα, 1.54184 Å. Input: a DFT-relaxed cell (PBE, OQMD).
Kinematic intensities with the Lorentz-polarization factor, no thermal factor.

Main lines, in order of falling intensity (2θ from 10° to 80°):
- 40.46 deg, rel. 100
- 36.81 deg, rel. 44
- 37.99 deg, rel. 36
- 76.73 deg, rel. 25
- 46.00 deg, rel. 23
- 63.80 deg, rel. 22

Atomic structure:
```
Ag
1.0
2.9176 0.0000 0.0000
-1.4588 2.5267 0.0000
0.0000 0.0000 9.4741
Ag
4
direct
0.0000 0.0000 0.0000
0.0000 0.0000 0.5000
0.3333 0.6667 0.2500
0.6667 0.3333 0.7500
```



2.
# SmDyRe
Simulated X-ray powder pattern, Cu Kα, 1.54184 Å. Input: a DFT-relaxed cell (PBE, OQMD).
Kinematic intensities with the Lorentz-polarization factor, no thermal factor.

Main lines, in order of falling intensity (2θ from 10° to 80°):
- 37.49 deg, rel. 100
- 67.63 deg, rel. 36
- 22.70 deg, rel. 27
- 54.05 deg, rel. 18
- 26.27 deg, rel. 16
- 44.27 deg, rel. 14

Atomic structure:
```
SmDyRe
1.0
0.0000 3.3930 3.3930
3.3930 0.0000 3.3930
3.3930 3.3930 0.0000
Sm Dy Re
1 1 1
direct
0.0000 0.0000 0.0000
0.7500 0.7500 0.7500
0.5000 0.5000 0.5000
```



3.
# MoH10C4S2Cl4
Simulated X-ray powder pattern, Cu Kα, 1.54184 Å. Input: a DFT-relaxed cell (PBE, OQMD).
Kinematic intensities with the Lorentz-polarization factor, no thermal factor.

Main lines, in order of falling intensity (2θ from 10° to 80°):
- 14.49 deg, rel. 100
- 15.50 deg, rel. 92
- 15.34 deg, rel. 37
- 13.66 deg, rel. 31
- 27.19 deg, rel. 24
- 28.87 deg, rel. 22

Atomic structure:
```
MoH10C4S2Cl4
1.0
7.3256 0.0000 0.0000
0.0000 11.5539 0.0000
-3.5356 0.0000 7.2018
Mo H C S Cl
2 20 8 4 8
direct
0.1944 0.0000 0.2467
0.8056 0.5000 0.7533
0.0143 0.5015 0.2749
0.0467 0.8656 0.6518
0.1088 0.3687 0.2271
0.2379 0.6941 0.7022
0.2493 0.1407 0.8654
0.2759 0.5479 0.6463
0.3055 0.6678 0.5167
0.4221 0.9613 0.8184
0.4242 0.4515 0.9381
0.4840 0.6599 0.0502
0.5160 0.1599 0.9498
0.5758 0.9515 0.0619
0.5779 0.4613 0.1816
0.6945 0.1678 0.4833
0.7241 0.0479 0.3537
0.7507 0.6407 0.1346
0.7621 0.1941 0.2978
0.8912 0.8687 0.7729
0.9533 0.3656 0.3482
0.9857 0.0015 0.7251
0.0192 0.9098 0.7597
0.3253 0.6381 0.6535
0.3984 0.1105 0.9696
0.4281 0.9817 0.9548
0.5719 0.4817 0.0452
0.6016 0.6105 0.0304
0.6747 0.1381 0.3465
0.9808 0.4098 0.2403
0.2377 0.8914 0.9806
0.4087 0.1554 0.1909
0.5913 0.6554 0.8091
0.7623 0.3914 0.0194
0.0274 0.3572 0.7323
0.0702 0.5988 0.9928
0.2024 0.1119 0.4895
0.4831 0.8876 0.4131
0.5169 0.3876 0.5869
0.7976 0.6119 0.5105
0.9298 0.0988 0.0072
0.9726 0.8572 0.2677
```



4.
# TePd14
Simulated X-ray powder pattern, Cu Kα, 1.54184 Å. Input: a DFT-relaxed cell (PBE, OQMD).
Kinematic intensities with the Lorentz-polarization factor, no thermal factor.

Main lines, in order of falling intensity (2θ from 10° to 80°):
- 39.63 deg, rel. 100
- 39.05 deg, rel. 67
- 44.24 deg, rel. 66
- 39.29 deg, rel. 60
- 40.20 deg, rel. 54
- 46.29 deg, rel. 48

Atomic structure:
```
TePd14
1.0
8.1153 0.0000 0.0000
0.0000 2.8576 0.0000
-0.5892 0.0000 31.2489
Te Pd
2 28
direct
0.0268 0.2500 0.1943
0.9732 0.7500 0.8057
0.0270 0.2500 0.5743
0.0794 0.7500 0.7223
0.0877 0.7500 0.3409
0.1388 0.2500 0.4892
0.1917 0.7500 0.6382
0.2050 0.7500 0.2528
0.2464 0.2500 0.7887
0.2516 0.2500 0.4042
0.3043 0.7500 0.5527
0.3588 0.2500 0.7015
0.3627 0.2500 0.3188
0.4172 0.7500 0.4680
0.4699 0.2500 0.6165
0.4839 0.2500 0.2340
0.5161 0.7500 0.7660
0.5301 0.7500 0.3835
0.5828 0.2500 0.5320
0.6373 0.7500 0.6812
0.6412 0.7500 0.2985
0.6957 0.2500 0.4473
0.7484 0.7500 0.5958
0.7536 0.7500 0.2113
0.7950 0.2500 0.7472
0.8083 0.2500 0.3618
0.8612 0.7500 0.5108
0.9123 0.2500 0.6591
0.9206 0.2500 0.2777
0.9730 0.7500 0.4257
```



5.
# HfNb2Tl
Simulated X-ray powder pattern, Cu Kα, 1.54184 Å. Input: a DFT-relaxed cell (PBE, OQMD).
Kinematic intensities with the Lorentz-polarization factor, no thermal factor.

Main lines, in order of falling intensity (2θ from 10° to 80°):
- 37.24 deg, rel. 100
- 67.15 deg, rel. 36
- 53.69 deg, rel. 17
- 22.55 deg, rel. 12
- 79.37 deg, rel. 11
- 43.98 deg, rel. 7

Atomic structure:
```
HfNb2Tl
1.0
0.0000 3.4145 3.4145
3.4145 0.0000 3.4145
3.4145 3.4145 0.0000
Hf Nb Tl
1 2 1
direct
0.0000 0.0000 0.0000
0.2500 0.2500 0.2500
0.5000 0.5000 0.5000
0.7500 0.7500 0.7500
```



6.
# Cd3H2CSeO8
Simulated X-ray powder pattern, Cu Kα, 1.54184 Å. Input: a DFT-relaxed cell (PBE, OQMD).
Kinematic intensities with the Lorentz-polarization factor, no thermal factor.

Main lines, in order of falling intensity (2θ from 10° to 80°):
- 32.37 deg, rel. 100
- 33.93 deg, rel. 70
- 30.46 deg, rel. 54
- 26.95 deg, rel. 53
- 52.70 deg, rel. 49
- 16.05 deg, rel. 48

Atomic structure:
```
Cd3H2CSeO8
1.0
6.5185 0.0000 0.0000
0.0000 10.4685 0.0000
0.0000 0.0000 10.3866
Cd H C Se O
12 8 4 4 32
direct
0.0309 0.0454 0.1673
0.0309 0.4546 0.1673
0.2437 0.2500 0.8749
0.2563 0.7500 0.3749
0.4691 0.5454 0.6673
0.4691 0.9546 0.6673
0.5309 0.0454 0.3327
0.5309 0.4546 0.3327
0.7437 0.2500 0.6251
0.7563 0.7500 0.1251
0.9691 0.5454 0.8327
0.9691 0.9546 0.8327
0.1376 0.5079 0.4074
0.1376 0.9921 0.4074
0.3624 0.0079 0.9074
0.3624 0.4921 0.9074
0.6376 0.5079 0.0926
0.6376 0.9921 0.0926
0.8624 0.0079 0.5926
0.8624 0.4921 0.5926
0.1214 0.7500 0.6464
0.3786 0.2500 0.1464
0.6214 0.7500 0.8536
0.8786 0.2500 0.3536
0.2474 0.2500 0.5231
0.2526 0.7500 0.0231
0.7474 0.2500 0.9769
0.7526 0.7500 0.4769
0.0481 0.7500 0.7632
0.0731 0.6285 0.0388
0.0731 0.8715 0.0388
0.1147 0.2500 0.6649
0.1555 0.6426 0.5881
0.1555 0.8574 0.5881
0.2076 0.5358 0.3292
0.2076 0.9642 0.3292
0.2924 0.0358 0.8292
0.2924 0.4642 0.8292
0.3445 0.1426 0.0881
0.3445 0.3574 0.0881
0.3853 0.7500 0.1649
0.4269 0.1285 0.5388
0.4269 0.3715 0.5388
0.4519 0.2500 0.2632
0.5481 0.7500 0.7368
0.5731 0.6285 0.4612
0.5731 0.8715 0.4612
0.6147 0.2500 0.8351
0.6555 0.6426 0.9119
0.6555 0.8574 0.9119
0.7076 0.5358 0.1708
0.7076 0.9642 0.1708
0.7924 0.0358 0.6708
0.7924 0.4642 0.6708
0.8445 0.1426 0.4119
0.8445 0.3574 0.4119
0.8853 0.7500 0.3351
0.9269 0.1285 0.9612
0.9269 0.3715 0.9612
0.9519 0.2500 0.2368
```



7.
# In3Ni5Ge2
Simulated X-ray powder pattern, Cu Kα, 1.54184 Å. Input: a DFT-relaxed cell (PBE, OQMD).
Kinematic intensities with the Lorentz-polarization factor, no thermal factor.

Main lines, in order of falling intensity (2θ from 10° to 80°):
- 43.41 deg, rel. 100
- 45.28 deg, rel. 31
- 42.78 deg, rel. 26
- 42.63 deg, rel. 22
- 30.70 deg, rel. 21
- 34.26 deg, rel. 20

Atomic structure:
```
In3Ni5Ge2
1.0
2.0025 -6.3619 0.0000
2.0025 6.3619 0.0000
0.0000 0.0000 11.9409
In Ni Ge
6 10 4
direct
0.0000 0.0000 0.0000
0.0000 0.0000 0.5000
0.3320 0.6680 0.5261
0.3320 0.6680 0.9739
0.6680 0.3320 0.0261
0.6680 0.3320 0.4739
0.1573 0.8427 0.6434
0.1573 0.8427 0.8566
0.3397 0.6603 0.7500
0.4770 0.5230 0.1452
0.4770 0.5230 0.3548
0.5230 0.4770 0.6452
0.5230 0.4770 0.8548
0.6603 0.3397 0.2500
0.8427 0.1573 0.1434
0.8427 0.1573 0.3566
0.0371 0.9629 0.2500
0.2916 0.7084 0.2500
0.7084 0.2916 0.7500
0.9629 0.0371 0.7500
```



8.
# ErLuSc2In2
Simulated X-ray powder pattern, Cu Kα, 1.54184 Å. Input: a DFT-relaxed cell (PBE, OQMD).
Kinematic intensities with the Lorentz-polarization factor, no thermal factor.

Main lines, in order of falling intensity (2θ from 10° to 80°):
- 34.10 deg, rel. 100
- 34.86 deg, rel. 83
- 62.02 deg, rel. 35
- 49.56 deg, rel. 35
- 19.92 deg, rel. 23
- 68.17 deg, rel. 23

Atomic structure:
```
ErLuSc2In2
1.0
5.1478 0.0000 0.0000
-2.5739 4.4582 0.0000
0.0000 0.0000 6.5105
Er Lu Sc In
1 1 2 2
direct
0.0000 0.0000 0.0000
0.0000 0.0000 0.5000
0.3333 0.6667 0.2503
0.6667 0.3333 0.7497
0.3333 0.6667 0.7498
0.6667 0.3333 0.2502
```



9.
# PrBr2
Simulated X-ray powder pattern, Cu Kα, 1.54184 Å. Input: a DFT-relaxed cell (PBE, OQMD).
Kinematic intensities with the Lorentz-polarization factor, no thermal factor.

Main lines, in order of falling intensity (2θ from 10° to 80°):
- 32.22 deg, rel. 100
- 28.62 deg, rel. 82
- 12.95 deg, rel. 56
- 41.91 deg, rel. 37
- 44.84 deg, rel. 35
- 26.21 deg, rel. 28

Atomic structure:
```
PrBr2
1.0
2.0298 -3.4964 0.0000
2.0298 3.4964 0.0000
0.0000 0.0000 13.6684
Pr Br
2 4
direct
0.1665 0.8335 0.5000
0.8335 0.1665 0.0000
0.1685 0.8315 0.8626
0.4985 0.5015 0.1375
0.5015 0.4985 0.6375
0.8315 0.1685 0.3626
```



10.
# ZnF2
Simulated X-ray powder pattern, Cu Kα, 1.54184 Å. Input: a DFT-relaxed cell (PBE, OQMD).
Kinematic intensities with the Lorentz-polarization factor, no thermal factor.

Main lines, in order of falling intensity (2θ from 10° to 80°):
- 22.18 deg, rel. 100
- 35.07 deg, rel. 90
- 47.90 deg, rel. 75
- 40.28 deg, rel. 48
- 59.28 deg, rel. 39
- 64.10 deg, rel. 29

Atomic structure:
```
ZnF2
1.0
1.5593 -2.6987 0.0000
1.5593 2.6987 0.0000
0.0000 0.0000 8.0156
Zn F
2 4
direct
0.1676 0.8324 0.5000
0.8324 0.1676 0.0000
0.1659 0.8341 0.1226
0.4992 0.5008 0.8791
0.5008 0.4992 0.3791
0.8341 0.1659 0.6226
```



11.
# Sm2YCo2B2N3
Simulated X-ray powder pattern, Cu Kα, 1.54184 Å. Input: a DFT-relaxed cell (PBE, OQMD).
Kinematic intensities with the Lorentz-polarization factor, no thermal factor.

Main lines, in order of falling intensity (2θ from 10° to 80°):
- 28.56 deg, rel. 100
- 33.90 deg, rel. 75
- 40.30 deg, rel. 70
- 36.21 deg, rel. 59
- 51.54 deg, rel. 46
- 35.81 deg, rel. 43

Atomic structure:
```
Sm2YCo2B2N3
1.0
-1.7733 1.7733 9.9236
1.7733 -1.7733 9.9236
1.7733 1.7733 -9.9236
Sm Y Co B N
2 1 2 2 3
direct
0.1256 0.1256 0.0000
0.8744 0.8744 0.0000
0.5000 0.5000 0.0000
0.2500 0.7500 0.5000
0.7500 0.2500 0.5000
0.3049 0.3049 0.0000
0.6951 0.6951 0.0000
0.0000 0.0000 0.0000
0.3808 0.3808 0.0000
0.6192 0.6192 0.0000
```